Ba4SiCl4: computed X-ray diffraction stick pattern (Cu Kα, 1.54184 Å), based on a crystal structure in Alexandria, relaxed with PBE.
No peak broadening, texture or thermal motion is included.

Largest 10 diffraction maxima, in order of rising 2θ, 10 to 90 degrees two-theta:
| d/Å | I (rel.) |
| --- | --- |
| 7.816 | 25 |
| 3.880 | 36 |
| 3.834 | 36 |
| 3.388 | 100 |
| 3.252 | 54 |
| 2.958 | 17 |
| 2.374 | 21 |
| 2.346 | 66 |
| 1.917 | 20 |
| 1.504 | 16 |

Atomic structure:
Unit cell a=8.285 b=8.285 c=11.672 alpha=120.49 beta=120.49 gamma=33.30
Atoms (fractional coordinates):
Ba  0.079  0.079  0.390
Ba  0.294  0.294  0.217
Ba  0.706  0.706  0.783
Ba  0.921  0.921  0.610
Si  0.500  0.500  0.500
Cl  0.133  0.133  0.890
Cl  0.295  0.295  0.687
Cl  0.705  0.705  0.313
Cl  0.867  0.867  0.110